Theoretical X-ray diffraction stick pattern
Compound: TeS2
Radiation: a wavelength of 1.5418 Å
Structure: DFT lattice parameters and positions (PBE)
No peak broadening, texture or thermal motion is included.

Largest 6 diffraction maxima, in order of rising 2θ, 15° ≤ 2θ ≤ 90°:
2θ/deg, I_rel, hkl
16.6, 48.5, 0 1 0
17.7, 73.1, 0 1 1
22.9, 100.0, 1 0 -1
23.0, 42.5, 0 1 -1
31.7, 53.6, 1 1 2
32.9, 45.5, -1 1 2

```
TeS2
1.0
4.5389 0.0000 0.0000
0.4329 5.5306 0.0000
0.0422 2.0331 7.3857
Te S
2 4
direct
0.2407 0.1781 0.2897
0.7593 0.8219 0.7103
0.0860 0.8350 0.9724
0.2601 0.7627 0.4486
0.7399 0.2373 0.5514
0.9140 0.1650 0.0276
```